Simulated powder XRD pattern
Compound: CeMg2Bi2
Radiation: Cu Kα
Structure: DFT lattice parameters and positions (GGA-PBE)
Lines closer than 0.1° are merged.

The 10 most intense peaks (2θ = 10–90°), by angle:
hkl 0 8 0, 26.52°, I = 23; hkl 1 3 1, 29.51°, I = 56; hkl 1 5 1, 32.44°, I = 100; hkl 2 0 0, 39.58°, I = 19; hkl 0 0 2, 39.70°, I = 19; hkl 2 8 0, 48.29°, I = 15; hkl 2 0 2, 57.31°, I = 13; hkl 2 8 2, 64.23°, I = 13; hkl 3 5 1, 67.33°, I = 12; hkl 1 5 3, 67.50°, I = 12

a b c (Å): 4.5539 26.8926 4.5408
angles (deg): 90.00 90.00 90.00
Space group Cmcm (No. 63)
Inequivalent atoms, fractional coordinates:
Ce  0.0000  0.1549  0.2500 [4 per cell]
Mg  0.0000  0.0399  0.7500 [4 per cell]
Mg  0.0000  0.4578  0.7500 [4 per cell]
Bi  0.0000  0.2499  0.7500 [4 per cell]
Bi  0.0000  0.3769  0.2500 [4 per cell]